Diffraction record for LiNiO2. The X-ray powder pattern is simulated, not measured: it uses a PBE+U-relaxed structure and λ = 1.5418 Å (Cu Kα).
Neutral-atom scattering factors, no anomalous dispersion.

The 10 most intense peaks (2θ = 10–80°), in order of rising 2θ:
2theta	d_spacing	Rel. int.	(hkl)
18.53	4.788	41.0	0 0 1
18.67	4.754	100.0	1 1 0
36.00	2.495	35.2	3 1 -2
36.46	2.464	14.4	3 1 0
37.85	2.377	23.5	4 0 -2
43.65	2.074	69.1	2 2 -2
44.42	2.039	32.8	4 0 0
63.60	1.463	9.6	0 4 0
63.83	1.458	18.4	2 2 2
64.24	1.450	18.2	6 2 -2

Structural model:
Cell: 10.0167 5.8520 5.8792 Å, 90.00 125.47 90.00°
Space group C2/m (No. 12)
One atom of each set of equivalent atoms:
Li 0.0000 0.0000 0.0000 x2
Li 0.0000 0.0000 0.5000 x2
Li 0.2500 0.2500 0.0000 x4
Ni 0.0000 0.5000 0.0000 x2
Ni 0.0000 0.5000 0.5000 x2
Ni 0.2500 0.2500 0.5000 x4
O 0.0117 0.2677 0.2750 x8
O 0.2344 0.5000 0.7429 x4
O 0.2503 0.0000 0.7129 x4



Diffraction record for LiNiO3. The X-ray powder pattern is simulated, not measured: it uses a PBE+U-relaxed structure and λ = 1.5418 Å (Cu Kα).
Neutral-atom scattering factors, no anomalous dispersion.

The 8 most intense peaks (2θ = 10–80°), in order of rising 2θ:
2theta	d_spacing	Rel. int.	(hkl)
23.57	3.775	100.0	1 0 0
33.57	2.669	37.5	1 1 0
41.43	2.180	0.7	1 1 1
48.21	1.888	30.2	2 0 0
54.34	1.688	34.0	2 1 0
60.03	1.541	14.3	2 1 1
70.56	1.335	15.7	2 2 0
75.56	1.258	14.0	3 0 0

Structural model:
Cell: 3.7751 3.7751 3.7751 Å, 90.00 90.00 90.00°
Space group Pm-3m (No. 221)
One atom of each set of equivalent atoms:
Li 0.0000 0.0000 0.0000 x1
Ni 0.5000 0.5000 0.5000 x1
O 0.0000 0.5000 0.5000 x3



Diffraction record for LiNi3O4. The X-ray powder pattern is simulated, not measured: it uses a PBE+U-relaxed structure and λ = 1.5418 Å (Cu Kα).
Neutral-atom scattering factors, no anomalous dispersion.

The 10 most intense peaks (2θ = 10–80°), in order of rising 2θ:
2theta	d_spacing	Rel. int.	(hkl)
18.38	4.826	60.9	1 1 0
21.26	4.179	17.3	0 2 0
37.26	2.413	42.4	2 2 0
37.43	2.402	41.6	2 2 -2
43.27	2.091	100.0	0 0 2
43.64	2.074	48.1	4 0 -2
62.86	1.478	42.1	0 4 2
63.17	1.472	27.4	4 4 -2
63.35	1.468	13.7	4 0 -4
79.42	1.207	12.8	4 4 0

Structural model:
Cell: 8.2959 8.3577 5.8727 Å, 90.00 134.55 90.00°
Space group C2/m (No. 12)
One atom of each set of equivalent atoms:
Li 0.0000 0.0000 0.0000 x2
Li 0.0000 0.0000 0.5000 x2
Ni 0.0000 0.5000 0.0000 x2
Ni 0.0000 0.5000 0.5000 x2
Ni 0.2500 0.2500 0.0000 x4
Ni 0.2500 0.2500 0.5000 x4
O 0.0000 0.2471 0.0000 x4
O 0.0000 0.2689 0.5000 x4
O 0.2212 0.5000 0.4738 x4
O 0.2372 0.5000 0.0124 x4



Diffraction record for Li4Ni5O10. The X-ray powder pattern is simulated, not measured: it uses a PBE+U-relaxed structure and λ = 1.5418 Å (Cu Kα).
Neutral-atom scattering factors, no anomalous dispersion.

The 10 most intense peaks (2θ = 10–80°), in order of rising 2θ:
2theta	d_spacing	Rel. int.	(hkl)
17.55	5.052	100.0	0 1 0
35.05	2.560	11.8	1 0 -2
36.26	2.477	6.4	2 1 1
39.65	2.273	13.8	1 0 3
40.58	2.223	19.7	2 2 1
41.00	2.201	20.7	-1 1 2
49.62	1.837	11.6	1 -1 3
51.70	1.768	13.4	2 3 1
53.29	1.719	6.0	-1 2 2
63.18	1.472	8.7	3 1 -1

Structural model:
Cell: 4.9638 5.6740 7.5365 Å, 74.36 74.23 64.77°
Space group P1 (No. 1)
One atom of each set of equivalent atoms:
Li 0.0000 0.0000 0.0000 x1
Li 0.0990 0.8953 0.5170 x1
Li 0.4232 0.0042 0.2000 x1
Li 0.5329 0.9019 0.7142 x1
Ni 0.0601 0.4548 0.7630 x1
Ni 0.2659 0.4486 0.3589 x1
Ni 0.4593 0.4522 0.9585 x1
Ni 0.6558 0.4548 0.5646 x1
Ni 0.8605 0.4498 0.1599 x1
O 0.0432 0.2429 0.3700 x1
O 0.1216 0.6387 0.1302 x1
O 0.2352 0.2432 0.9726 x1
O 0.2877 0.6790 0.7488 x1
O 0.4192 0.2594 0.5817 x1
O 0.4849 0.6573 0.3485 x1
O 0.6404 0.2361 0.1651 x1
O 0.6820 0.6531 0.9486 x1
O 0.7954 0.2588 0.7926 x1
O 0.8838 0.6606 0.5547 x1



Diffraction record for Li5NiO4. The X-ray powder pattern is simulated, not measured: it uses a PBE+U-relaxed structure and λ = 1.5418 Å (Cu Kα).
Neutral-atom scattering factors, no anomalous dispersion.

The 10 most intense peaks (2θ = 10–80°), in order of rising 2θ:
2theta	d_spacing	Rel. int.	(hkl)
18.82	4.716	32.0	0 0 2
23.24	3.827	100.0	1 1 1
27.93	3.195	22.2	0 2 2
33.75	2.656	27.2	1 2 2
35.71	2.514	18.0	1 1 3
37.56	2.395	20.7	1 3 1
46.69	1.945	21.8	1 3 3
54.68	1.679	13.7	2 0 4
57.31	1.608	13.7	2 4 0
57.71	1.597	12.6	0 4 4

Structural model:
Cell: 4.7798 8.6858 9.4320 Å, 90.00 90.00 90.00°
Space group Aea2 (No. 41)
One atom of each set of equivalent atoms:
Li 0.0000 0.0000 0.0000 x4
Li 0.0257 0.2045 0.2362 x8
Li 0.0559 0.2143 0.4842 x8
Ni 0.0000 0.0000 0.7265 x4
O 0.1656 0.1388 0.8553 x8
O 0.2270 0.3716 0.1141 x8



Diffraction record for Li5Ni7O12. The X-ray powder pattern is simulated, not measured: it uses a PBE+U-relaxed structure and λ = 1.5418 Å (Cu Kα).
Neutral-atom scattering factors, no anomalous dispersion.

The 10 most intense peaks (2θ = 10–80°), in order of rising 2θ:
2theta	d_spacing	Rel. int.	(hkl)
18.76	4.731	27.6	0 0 2
20.36	4.361	19.4	0 2 0
21.31	4.170	11.9	1 1 -1
23.95	3.716	23.4	1 1 1
36.23	2.480	12.8	2 0 0
37.90	2.374	32.3	1 3 1
44.10	2.054	100.0	2 0 2
64.04	1.454	27.4	3 3 -1
64.22	1.450	27.5	1 3 5
76.95	1.239	13.9	2 6 -2

Structural model:
Cell: 5.0374 8.7230 9.6105 Å, 90.00 100.08 90.00°
Space group C2 (No. 5)
One atom of each set of equivalent atoms:
Li 0.0000 0.0000 0.0000 x2
Li 0.2490 0.0055 0.7514 x4
Li 0.2492 0.3283 0.7507 x4
Ni 0.0000 0.1673 0.5000 x2
Ni 0.0000 0.3336 0.0000 x2
Ni 0.0000 0.5001 0.5000 x2
Ni 0.0000 0.6612 0.0000 x2
Ni 0.0000 0.8322 0.5000 x2
Ni 0.2483 0.1640 0.2478 x4
O 0.1062 0.1769 0.8792 x4
O 0.1074 0.5021 0.8869 x4
O 0.1086 0.6662 0.3707 x4
O 0.1166 0.0150 0.3800 x4
O 0.1182 0.3210 0.3843 x4
O 0.1234 0.8115 0.8820 x4



Diffraction record for LiNiO2. The X-ray powder pattern is simulated, not measured: it uses a PBE+U-relaxed structure and λ = 1.5418 Å (Cu Kα).
Neutral-atom scattering factors, no anomalous dispersion.

The 10 most intense peaks (2θ = 10–80°), in order of rising 2θ:
2theta	d_spacing	Rel. int.	(hkl)
17.56	5.050	100.0	0 0 1
34.01	2.636	10.2	2 0 0
36.10	2.488	13.0	1 1 0
37.37	2.406	25.3	2 0 -1
40.95	2.204	34.7	1 1 1
48.14	1.890	11.4	2 0 -2
50.65	1.802	9.4	1 1 -2
52.47	1.744	18.6	1 1 2
62.23	1.492	11.5	3 1 0
65.97	1.416	9.2	1 1 -3

Structural model:
Cell: 5.2847 2.8225 5.0625 Å, 90.00 93.98 90.00°
Space group Cm (No. 8)
One atom of each set of equivalent atoms:
Li 0.0000 0.0000 0.0000 x2
Ni 0.3355 0.0000 0.4328 x2
O 0.1906 0.5000 0.2079 x2
O 0.4983 0.5000 0.6263 x2